1.
Sr7Ag3: calculated powder diffraction line list (λ = 1.5418 Å (Cu Kα)), based on a structure optimized by DFT (GGA-PBE).
No peak broadening, texture or thermal motion is included.

Unit cell a=11.3354 b=11.3354 c=7.3501 alpha=90.00 beta=90.00 gamma=120.00
Space group P6_3mc (No. 186)
Asymmetric unit:
Sr 0.0831 0.5416 0.0000
Sr 0.1255 0.2511 0.6907
Sr 0.3333 0.6667 0.4896
Ag 0.1884 0.3768 0.2694

Main lines, in order of rising 2θ (15° ≤ 2θ ≤ 90°):
hkl 1 0 1, 15.06°, d 5.884, rel. 26
hkl 1 0 2, 25.89°, d 3.442, rel. 45
hkl 2 1 1, 26.92°, d 3.312, rel. 100
hkl 3 0 0, 27.25°, d 3.272, rel. 27
hkl 3 0 1, 29.89°, d 2.989, rel. 80
hkl 2 0 2, 30.38°, d 2.942, rel. 67
hkl 2 2 0, 31.57°, d 2.834, rel. 62
hkl 2 1 2, 34.35°, d 2.611, rel. 30
hkl 2 0 3, 41.18°, d 2.192, rel. 30
hkl 3 0 3, 46.29°, d 1.961, rel. 27
hkl 5 0 1, 47.96°, d 1.897, rel. 23
hkl 5 0 2, 52.84°, d 1.733, rel. 25

---

2.
KBH4: calculated powder diffraction line list (λ = 1.5418 Å (Cu Kα)), based on a structure optimized by DFT (GGA-PBE).
No peak broadening, texture or thermal motion is included.

Unit cell a=4.7277 b=4.7277 c=6.6732 alpha=90.00 beta=90.00 gamma=90.00
Space group P4_2/nmc (No. 137, origin choice 2)
Asymmetric unit:
K 0.2500 0.7500 0.2500
B 0.2500 0.7500 0.7500
H 0.0382 0.7500 0.6428

Main lines, in order of rising 2θ (15° ≤ 2θ ≤ 90°):
hkl 1 0 1, 23.06°, d 3.858, rel. 58
hkl 1 1 0, 26.68°, d 3.341, rel. 100
hkl 2 0 0, 38.09°, d 2.362, rel. 65
hkl 1 0 3, 45.00°, d 2.015, rel. 37
hkl 2 0 2, 47.12°, d 1.929, rel. 21
hkl 3 0 1, 60.39°, d 1.533, rel. 13
hkl 3 1 0, 62.10°, d 1.495, rel. 16
hkl 1 1 4, 62.19°, d 1.493, rel. 8
hkl 3 1 2, 68.84°, d 1.364, rel. 17
hkl 3 2 1, 73.64°, d 1.286, rel. 7
hkl 4 0 0, 81.49°, d 1.181, rel. 6
hkl 4 0 2, 87.61°, d 1.114, rel. 11

---

3.
K2MnP2Se6: calculated powder diffraction line list (λ = 1.5418 Å (Cu Kα)), based on a structure optimized by DFT (GGA-PBE).
No peak broadening, texture or thermal motion is included.

Unit cell a=6.5608 b=12.8889 c=8.9807 alpha=90.00 beta=122.93 gamma=90.00
Space group P2_1/c (No. 14)
Asymmetric unit:
K 0.1854 0.1940 0.4590
Mn 0.5000 0.0000 0.0000
P 0.1482 0.5332 0.6331
Se 0.0466 0.0570 0.7323
Se 0.2881 0.6714 0.5704
Se 0.4403 0.0844 0.2537

Main lines, in order of rising 2θ (15° ≤ 2θ ≤ 90°):
hkl 0 1 2, 24.61°, d 3.618, rel. 17
hkl 1 1 1, 25.63°, d 3.476, rel. 16
hkl 0 2 2, 27.41°, d 3.254, rel. 37
hkl 2 0 -2, 27.86°, d 3.202, rel. 30
hkl 1 2 1, 28.34°, d 3.149, rel. 85
hkl 1 4 -1, 31.07°, d 2.878, rel. 100
hkl 1 2 -3, 33.14°, d 2.703, rel. 30
hkl 2 1 -3, 33.43°, d 2.681, rel. 31
hkl 2 2 0, 35.45°, d 2.532, rel. 34
hkl 2 2 -4, 43.19°, d 2.095, rel. 14
hkl 3 3 -2, 46.68°, d 1.946, rel. 17
hkl 0 6 2, 48.81°, d 1.866, rel. 27

---

4.
Tl3Cl: calculated powder diffraction line list (λ = 1.5418 Å (Cu Kα)), based on a structure optimized by DFT (GGA-PBE).
No peak broadening, texture or thermal motion is included.

Unit cell a=5.0137 b=5.0137 c=5.0137 alpha=90.00 beta=90.00 gamma=90.00
Space group Pm-3m (No. 221)
Asymmetric unit:
Tl 0.0000 0.0000 0.5000
Cl 0.5000 0.5000 0.5000

Main lines, in order of rising 2θ (15° ≤ 2θ ≤ 90°):
hkl 1 0 0, 17.69°, d 5.014, rel. 18
hkl 1 1 0, 25.12°, d 3.545, rel. 16
hkl 1 1 1, 30.89°, d 2.895, rel. 100
hkl 2 0 0, 35.82°, d 2.507, rel. 51
hkl 2 1 0, 40.22°, d 2.242, rel. 10
hkl 2 1 1, 44.25°, d 2.047, rel. 8
hkl 2 2 0, 51.56°, d 1.773, rel. 36
hkl 3 1 1, 61.32°, d 1.512, rel. 43
hkl 2 2 2, 64.37°, d 1.447, rel. 12
hkl 4 0 0, 75.91°, d 1.253, rel. 6
hkl 3 3 1, 84.17°, d 1.150, rel. 18
hkl 4 2 0, 86.89°, d 1.121, rel. 17

---

5.
PrHo3: calculated powder diffraction line list (λ = 1.5418 Å (Cu Kα)), based on a structure optimized by DFT (GGA-PBE).
No peak broadening, texture or thermal motion is included.

Unit cell a=5.0593 b=5.0593 c=10.1105 alpha=90.00 beta=90.00 gamma=90.00
Space group I4/mmm (No. 139)
Asymmetric unit:
Pr 0.0000 0.0000 0.0000
Ho 0.0000 0.0000 0.5000
Ho 0.0000 0.5000 0.2500

Main lines, in order of rising 2θ (15° ≤ 2θ ≤ 90°):
hkl 1 1 2, 30.61°, d 2.920, rel. 100
hkl 2 0 0, 35.50°, d 2.529, rel. 51
hkl 2 2 0, 51.08°, d 1.788, rel. 36
hkl 3 1 2, 60.73°, d 1.525, rel. 43
hkl 2 2 4, 63.74°, d 1.460, rel. 12
hkl 4 0 0, 75.13°, d 1.264, rel. 6
hkl 3 3 2, 83.27°, d 1.160, rel. 18
hkl 4 2 0, 85.94°, d 1.131, rel. 17